(1)
Calculated PXRD pattern
Compound: SrGaAg2Ge
Radiation: copper Kα
Structure: the PBE geometry in Alexandria
Neutral-atom scattering factors, no anomalous dispersion.

Structural model:
```
data_SrGaAg2Ge
_chemical_formula_sum 'Sr2 Ga2 Ag4 Ge2'
_cell_length_a 4.315
_cell_length_b 4.529
_cell_length_c 11.478
_cell_angle_alpha 90.00
_cell_angle_beta 90.00
_cell_angle_gamma 90.00
_symmetry_space_group_name_H-M 'I m m 2'
_symmetry_Int_Tables_number 44
loop_
_symmetry_equiv_pos_as_xyz
'x,y,z'
'-x,-y,z'
'-x,y,z'
'x,-y,z'
'x+1/2,y+1/2,z+1/2'
'-x+1/2,-y+1/2,z+1/2'
'-x+1/2,y+1/2,z+1/2'
'x+1/2,-y+1/2,z+1/2'
loop_
_atom_site_label
_atom_site_type_symbol
_atom_site_fract_x
_atom_site_fract_y
_atom_site_fract_z
Sr1 Sr 0.000 0.000 0.000
Ga1 Ga 0.000 0.500 0.750
Ag1 Ag 0.000 0.000 0.613
Ag2 Ag 0.000 0.500 0.269
Ge1 Ge 0.000 0.000 0.386
```

Peak list (10 most intense, 2θ from 5° to 70°, sorted by position)
(hkl)	two_theta	I/Imax
0 1 3	30.59	14
1 0 3	31.24	38
1 1 2	32.64	100
0 2 0	39.81	33
2 0 0	41.87	29
1 1 4	42.79	36
0 1 5	44.23	24
1 2 3	51.45	18
2 2 0	59.15	20
2 1 5	62.54	16

---

(2)
Calculated PXRD pattern
Compound: Ga3AgH
Radiation: copper Kα
Structure: the PBE geometry in Alexandria
Neutral-atom scattering factors, no anomalous dispersion.

Structural model:
```
data_Ga3AgH
_chemical_formula_sum 'Ga3 Ag1 H1'
_cell_length_a 4.287
_cell_length_b 4.287
_cell_length_c 4.287
_cell_angle_alpha 90.00
_cell_angle_beta 90.00
_cell_angle_gamma 90.00
_symmetry_space_group_name_H-M 'P m -3 m'
_symmetry_Int_Tables_number 221
_symmetry_space_group_name_Hall '-P 4 2 3'
loop_
_atom_site_label
_atom_site_type_symbol
_atom_site_fract_x
_atom_site_fract_y
_atom_site_fract_z
Ga1 Ga 0.000 0.000 0.500
Ag1 Ag 0.500 0.500 0.500
H1 H 0.000 0.000 0.000
```

Peak list (9 most intense, 2θ from 5° to 70°, sorted by position)
(hkl)	two_theta	I/Imax
1 0 0	20.72	4
1 1 0	29.46	4
1 1 1	36.29	100
2 0 0	42.16	50
2 1 0	47.42	2
2 1 1	52.27	1
2 2 0	61.14	32
3 0 0	65.29	1
3 1 0	69.31	1

---

(3)
Calculated PXRD pattern
Compound: Hf2Ga4Ag
Radiation: copper Kα
Structure: the PBE geometry in Alexandria
Neutral-atom scattering factors, no anomalous dispersion.

Structural model:
```
data_Hf2Ga4Ag
_chemical_formula_sum 'Hf4 Ga8 Ag2'
_cell_length_a 4.929
_cell_length_b 4.929
_cell_length_c 13.432
_cell_angle_alpha 90.00
_cell_angle_beta 90.00
_cell_angle_gamma 90.00
_symmetry_space_group_name_H-M 'I 4/m m m'
_symmetry_Int_Tables_number 139
_symmetry_space_group_name_Hall '-I 4 2'
loop_
_atom_site_label
_atom_site_type_symbol
_atom_site_fract_x
_atom_site_fract_y
_atom_site_fract_z
Hf1 Hf 0.000 0.000 0.103
Ga1 Ga 0.000 0.000 0.307
Ga2 Ga 0.000 0.500 0.000
Ag1 Ag 0.000 0.000 0.500
```

Peak list (10 most intense, 2θ from 5° to 70°, sorted by position)
(hkl)	two_theta	I/Imax
0 0 2	13.18	54
1 0 1	19.18	20
1 1 0	25.56	84
2 0 0	36.46	89
1 1 4	37.18	29
1 0 5	38.15	100
2 2 0	52.51	31
2 1 5	53.79	73
3 1 0	59.28	16
3 0 5	66.73	19

---

(4)
Calculated PXRD pattern
Compound: GaAgHg2
Radiation: copper Kα
Structure: the PBE geometry in Alexandria
Neutral-atom scattering factors, no anomalous dispersion.

Structural model:
```
data_GaAgHg2
_chemical_formula_sum 'Ga4 Ag4 Hg8'
_cell_length_a 6.378
_cell_length_b 6.378
_cell_length_c 12.592
_cell_angle_alpha 90.00
_cell_angle_beta 90.00
_cell_angle_gamma 90.00
_symmetry_space_group_name_H-M 'I -4 2 d'
_symmetry_Int_Tables_number 122
_symmetry_space_group_name_Hall 'I -4 2bw'
loop_
_atom_site_label
_atom_site_type_symbol
_atom_site_fract_x
_atom_site_fract_y
_atom_site_fract_z
Ga1 Ga 0.000 0.000 0.000
Ag1 Ag 0.000 0.000 0.500
Hg1 Hg 0.237 0.250 0.125
```

Peak list (10 most intense, 2θ from 5° to 70°, sorted by position)
(hkl)	two_theta	I/Imax
1 1 2	24.28	100
2 0 0	27.98	8
0 0 4	28.35	4
2 2 0	39.98	24
2 0 4	40.26	48
3 1 2	47.33	34
1 1 6	47.80	17
4 0 0	57.83	8
3 3 2	63.64	7
3 1 6	64.03	14